Theoretical powder XRD pattern
Compound: Cs2MnCuO4
Radiation: copper Kα
Structure: DFT lattice parameters and positions (GGA+U)

Main lines, in order of falling intensity (10° ≤ 2θ ≤ 90°):
(hkl)  2θ (°)  I_rel
0 2 6  28.7  100
1 1 3  22.8  66
1 3 3  30.6  52
0 4 0  28.6  45
2 2 0  38.8  39
2 4 6  53.4  34
1 3 1  28.2  33
2 0 6  44.2  32

Structural model:
Cell lengths 4.9960, 12.5039, 21.5448 Å; angles 90.00, 90.00, 90.00 degrees
Space group Fddd (No. 70, origin choice 2)
Asymmetric unit:
1 Cs 0.1250 0.1250 0.2974 (multiplicity 16)
2 Mn 0.1250 0.1250 0.6250 (multiplicity 8)
3 Cu 0.1250 0.1250 0.1250 (multiplicity 8)
4 O 0.0874 0.2930 0.8298 (multiplicity 32)